# Na2Ca3SnO6
Computed powder X-ray diffraction pattern, copper Kα. Input: a PBE-relaxed structure.

Principal peaks in the range 2θ = 5–70°, in order of rising 2θ:
- 2θ 17.5, I = 24.5, (0 2 0)
- 2θ 18.3, I = 45.5, (1 1 0)
- 2θ 20.6, I = 33.9, (1 1 -1)
- 2θ 24.2, I = 21.8, (0 2 1)
- 2θ 32.4, I = 59.4, (2 0 0)
- 2θ 33.6, I = 17.3, (0 0 2)
- 2θ 37.7, I = 48.7, (2 0 -2)
- 2θ 38.1, I = 100.0, (1 3 1)
- 2θ 53.9, I = 30.0, (3 3 -1)
- 2θ 54.2, I = 14.8, (0 6 0)
- 2θ 55.5, I = 28.3, (1 3 -3)
- 2θ 55.8, I = 16.2, (2 0 2)

Structure:
Cell: 5.910 10.146 5.700 Å, 90.00 110.75 90.00°
Space group C2/m (No. 12)
Unique sites:
Na 0.000 0.166 0.000
Ca 0.000 0.000 0.500
Ca 0.000 0.329 0.500
Sn 0.000 0.500 0.000
O 0.214 0.500 0.764
O 0.231 0.350 0.247


# Tl3CuF6
Computed powder X-ray diffraction pattern, copper Kα. Input: a PBE-relaxed structure.

Principal peaks in the range 2θ = 5–70°, in order of rising 2θ:
- 2θ 20.1, I = 46.1, (0 0 3)
- 2θ 21.5, I = 97.8, (0 2 1)
- 2θ 28.0, I = 77.3, (2 1 1)
- 2θ 28.8, I = 28.5, (1 0 4)
- 2θ 30.4, I = 85.0, (1 2 2)
- 2θ 34.0, I = 42.5, (0 2 4)
- 2θ 37.1, I = 100.0, (3 0 3)
- 2θ 39.8, I = 24.9, (2 0 5)
- 2θ 47.6, I = 32.1, (2 3 2)
- 2θ 52.0, I = 38.7, (0 3 6)
- 2θ 53.1, I = 26.4, (0 5 1)
- 2θ 54.6, I = 25.4, (5 0 2)

Structure:
Cell: 10.0387 10.0387 13.2624 Å, 90.00 90.00 120.00°
Space group R-3m (No. 166, hexagonal axes)
Unique sites:
Tl 0.0752 0.5376 0.3816
Cu 0.0000 0.0000 0.0000
Cu 0.0000 0.0000 0.5000
F 0.0908 0.1816 0.4131
F 0.0920 0.1839 0.0837


# Rb2BaAg2Br7
Computed powder X-ray diffraction pattern, copper Kα. Input: a PBE-relaxed structure.

Principal peaks in the range 2θ = 5–70°, in order of rising 2θ:
- 2θ 6.3, I = 71.7, (0 0 1)
- 2θ 22.8, I = 26.0, (1 1 2)
- 2θ 23.0, I = 40.6, (0 2 0)
- 2θ 30.1, I = 69.1, (2 0 2)
- 2θ 32.0, I = 31.1, (0 0 5)
- 2θ 32.8, I = 100.0, (2 2 -1)
- 2θ 39.8, I = 20.5, (2 0 4)
- 2θ 46.5, I = 42.8, (2 2 4)
- 2θ 47.1, I = 35.4, (0 4 0)
- 2θ 51.6, I = 18.6, (2 2 5)
- 2θ 56.9, I = 22.1, (4 2 1)
- 2θ 58.1, I = 16.2, (0 4 5)

Structure:
Cell: 7.723 7.723 14.488 Å, 90.00 105.44 90.00°
Space group C2/m (No. 12)
Unique sites:
Rb 0.181 0.000 0.360
Ba 0.000 0.000 0.000
Ag 0.100 0.500 0.199
Br 0.000 0.500 0.000
Br 0.165 0.250 0.830
Br 0.196 0.500 0.394


# K4P4O5
Computed powder X-ray diffraction pattern, copper Kα. Input: a PBE-relaxed structure.

Principal peaks in the range 2θ = 5–70°, in order of rising 2θ:
- 2θ 17.9, I = 27.4, (1 1 -1)
- 2θ 19.1, I = 31.0, (1 2 0)
- 2θ 23.7, I = 29.4, (1 3 -1)
- 2θ 26.4, I = 35.6, (1 1 1)
- 2θ 26.8, I = 100.0, (0 4 1)
- 2θ 28.1, I = 29.7, (1 2 1)
- 2θ 28.5, I = 47.4, (1 0 -2)
- 2θ 29.6, I = 24.4, (2 1 -1)
- 2θ 32.0, I = 26.4, (2 1 0)
- 2θ 32.5, I = 24.5, (1 5 -1)
- 2θ 33.6, I = 31.9, (2 3 -1)
- 2θ 44.7, I = 33.4, (0 8 0)

Structure:
Cell: 6.172 16.215 6.328 Å, 90.00 112.91 90.00°
Space group P2_1 (No. 4)
Unique sites:
K 0.050 0.000 0.174
K 0.210 0.606 0.405
K 0.370 0.204 0.951
K 0.404 0.379 0.520
P 0.054 0.752 0.841
P 0.197 0.850 0.722
P 0.204 0.187 0.397
P 0.471 0.993 0.960
O 0.161 0.736 0.102
O 0.246 0.045 0.868
O 0.375 0.509 0.786
O 0.385 0.895 0.973
O 0.388 0.491 0.193


What did the fourth record say?
# K4P4O5
Computed powder X-ray diffraction pattern, copper Kα. Input: a PBE-relaxed structure.

Principal peaks in the range 2θ = 5–70°, in order of rising 2θ:
- 2θ 17.9, I = 27.4, (1 1 -1)
- 2θ 19.1, I = 31.0, (1 2 0)
- 2θ 23.7, I = 29.4, (1 3 -1)
- 2θ 26.4, I = 35.6, (1 1 1)
- 2θ 26.8, I = 100.0, (0 4 1)
- 2θ 28.1, I = 29.7, (1 2 1)
- 2θ 28.5, I = 47.4, (1 0 -2)
- 2θ 29.6, I = 24.4, (2 1 -1)
- 2θ 32.0, I = 26.4, (2 1 0)
- 2θ 32.5, I = 24.5, (1 5 -1)
- 2θ 33.6, I = 31.9, (2 3 -1)
- 2θ 44.7, I = 33.4, (0 8 0)

Structure:
Cell: 6.172 16.215 6.328 Å, 90.00 112.91 90.00°
Space group P2_1 (No. 4)
Unique sites:
K 0.050 0.000 0.174
K 0.210 0.606 0.405
K 0.370 0.204 0.951
K 0.404 0.379 0.520
P 0.054 0.752 0.841
P 0.197 0.850 0.722
P 0.204 0.187 0.397
P 0.471 0.993 0.960
O 0.161 0.736 0.102
O 0.246 0.045 0.868
O 0.375 0.509 0.786
O 0.385 0.895 0.973
O 0.388 0.491 0.193